# 1
Structure and simulated XRD peak list of TlGaO2 (a cell relaxed with PBE; a wavelength of 1.5418 Å).
Neutral-atom scattering factors, no anomalous dispersion.

Crystal structure
```
data_TlGaO2
_cell_length_a 3.928
_cell_length_b 10.284
_cell_length_c 3.079
_cell_angle_alpha 90.00
_cell_angle_beta 90.00
_cell_angle_gamma 90.00
_symmetry_space_group_name_H-M 'P m n 21'
_symmetry_Int_Tables_number 31
loop_
_symmetry_equiv_pos_as_xyz
'x,y,z'
'-x+1/2,-y,z+1/2'
'-x,y,z'
'x+1/2,-y,z+1/2'
loop_
_atom_site_label
_atom_site_fract_x
_atom_site_fract_y
_atom_site_fract_z
Tl1 0.000 0.157 0.000
Ga1 0.000 0.587 0.171
O1 0.000 0.449 0.675
O2 0.000 0.712 0.675
```

Principal peaks in the range 2θ from 5° to 70°, sorted by position:
- 24.3°, rel. 32.8, hkl 1 1 0
- 26.0°, rel. 37.1, hkl 0 3 0
- 28.6°, rel. 100.0, hkl 1 2 0
- 30.3°, rel. 33.9, hkl 0 1 1
- 33.9°, rel. 52.9, hkl 0 2 1
- 37.1°, rel. 41.1, hkl 1 0 1
- 45.9°, rel. 34.8, hkl 1 3 1
- 46.2°, rel. 20.6, hkl 2 0 0
- 51.8°, rel. 18.9, hkl 1 4 1
- 58.6°, rel. 22.3, hkl 2 2 1

# 2
Structure and simulated XRD peak list of TmGa2O4 (a cell relaxed with PBE; a wavelength of 1.5418 Å).
Neutral-atom scattering factors, no anomalous dispersion.

Crystal structure
```
data_TmGa2O4
_cell_length_a 4.525
_cell_length_b 4.525
_cell_length_c 5.242
_cell_angle_alpha 90.00
_cell_angle_beta 90.00
_cell_angle_gamma 90.00
_symmetry_space_group_name_H-M 'P -4 2 m'
_symmetry_Int_Tables_number 111
loop_
_symmetry_equiv_pos_as_xyz
'x,y,z'
'y,-x,-z'
'-x,-y,z'
'-y,x,-z'
'x,-y,-z'
'y,x,z'
'-x,y,-z'
'-y,-x,z'
loop_
_atom_site_label
_atom_site_fract_x
_atom_site_fract_y
_atom_site_fract_z
Tm1 0.000 0.000 0.000
Ga1 0.000 0.500 0.500
O1 0.240 0.240 0.289
```

Principal peaks in the range 2θ from 5° to 70°, sorted by position:
- 19.6°, rel. 51.1, hkl 1 0 0
- 26.0°, rel. 48.5, hkl 1 0 1
- 32.8°, rel. 100.0, hkl 1 1 1
- 39.7°, rel. 15.5, hkl 1 0 2
- 39.8°, rel. 17.9, hkl 2 0 0
- 48.2°, rel. 18.9, hkl 2 1 1
- 53.5°, rel. 31.7, hkl 2 0 2
- 57.6°, rel. 24.4, hkl 2 2 0
- 60.4°, rel. 16.7, hkl 1 1 3
- 67.9°, rel. 23.4, hkl 3 1 1